Record 1
For Rb4H5Br, the GGA-PBE geometry in Alexandria gives the computed XRD peak list in this record (λ = 1.5418 Å (Cu Kα)).
Kinematic intensities with the Lorentz-polarization factor, no thermal factor.

Most intense lines, 5° ≤ 2θ ≤ 70°, low angle first:
- 2θ = 22.19°, I = 27
- 2θ = 23.60°, I = 27
- 2θ = 24.01°, I = 100
- 2θ = 24.45°, I = 38
- 2θ = 30.43°, I = 27
- 2θ = 32.21°, I = 20
- 2θ = 36.12°, I = 18
- 2θ = 38.25°, I = 35
- 2θ = 39.53°, I = 23
- 2θ = 47.18°, I = 18

Cell and atoms:
```
data_Rb4H5Br
_space_group_name_H-M_alt 'P m m n'
_space_group_IT_number 59
_cell_length_a 11.118
_cell_length_b 11.562
_cell_length_c 4.973
_cell_angle_alpha 90.00
_cell_angle_beta 90.00
_cell_angle_gamma 90.00
loop_
_space_group_symop_operation_xyz
'x,y,z'
'-x,-y,-z'
'-x+1/2,-y+1/2,z'
'x+1/2,y+1/2,-z'
'x+1/2,-y,-z'
'-x+1/2,y,z'
'-x,y+1/2,-z'
'x,-y+1/2,z'
loop_
_atom_site_label
_atom_site_type_symbol
_atom_site_fract_x
_atom_site_fract_y
_atom_site_fract_z
Rb1 Rb 0.028 0.250 0.001
Rb2 Rb 0.250 0.559 0.500
H1 H 0.000 0.000 0.081
H2 H 0.250 0.750 0.999
Br1 Br 0.250 0.250 0.501
```

Record 2
For Rb3HBr2, the GGA-PBE geometry in Alexandria gives the computed XRD peak list in this record (λ = 1.5418 Å (Cu Kα)).
Kinematic intensities with the Lorentz-polarization factor, no thermal factor.

Most intense lines, 5° ≤ 2θ ≤ 70°, low angle first:
- 2θ = 25.92°, I = 55
- 2θ = 26.10°, I = 19
- 2θ = 26.60°, I = 100
- 2θ = 37.48°, I = 77
- 2θ = 37.67°, I = 17
- 2θ = 38.26°, I = 20
- 2θ = 46.29°, I = 18
- 2θ = 46.79°, I = 21
- 2θ = 60.53°, I = 18
- 2θ = 61.53°, I = 13

Cell and atoms:
```
data_Rb3HBr2
_space_group_name_H-M_alt 'C 1 2/c 1'
_space_group_IT_number 15
_cell_length_a 15.081
_cell_length_b 6.876
_cell_length_c 9.410
_cell_angle_alpha 90.00
_cell_angle_beta 108.19
_cell_angle_gamma 90.00
loop_
_space_group_symop_operation_xyz
'x,y,z'
'-x,-y,-z'
'-x,y,-z+1/2'
'x,-y,z+1/2'
'x+1/2,y+1/2,z'
'-x+1/2,-y+1/2,-z'
'-x+1/2,y+1/2,-z+1/2'
'x+1/2,-y+1/2,z+1/2'
loop_
_atom_site_label
_atom_site_type_symbol
_atom_site_fract_x
_atom_site_fract_y
_atom_site_fract_z
Rb1 Rb 0.000 0.027 0.250
Rb2 Rb 0.148 0.500 0.074
H1 H 0.000 0.478 0.250
Br1 Br 0.171 0.000 0.086
```

Record 3
For Rb2HRuBr6, the GGA-PBE geometry in Alexandria gives the computed XRD peak list in this record (λ = 1.5418 Å (Cu Kα)).
Kinematic intensities with the Lorentz-polarization factor, no thermal factor.

Most intense lines, 5° ≤ 2θ ≤ 70°, low angle first:
- 2θ = 14.40°, I = 36
- 2θ = 23.61°, I = 12
- 2θ = 29.02°, I = 100
- 2θ = 33.51°, I = 32
- 2θ = 33.70°, I = 63
- 2θ = 48.26°, I = 43
- 2θ = 48.41°, I = 22
- 2θ = 57.18°, I = 13
- 2θ = 57.44°, I = 26
- 2θ = 60.16°, I = 22

Cell and atoms:
```
data_Rb2HRuBr6
_space_group_name_H-M_alt 'I 4/m m m'
_space_group_IT_number 139
_space_group_name_Hall '-I 4 2'
_cell_length_a 7.522
_cell_length_b 7.522
_cell_length_c 10.697
_cell_angle_alpha 90.00
_cell_angle_beta 90.00
_cell_angle_gamma 90.00
loop_
_atom_site_label
_atom_site_type_symbol
_atom_site_fract_x
_atom_site_fract_y
_atom_site_fract_z
Rb1 Rb 0.000 0.500 0.250
H1 H 0.000 0.000 0.000
Ru1 Ru 0.000 0.000 0.500
Br1 Br 0.000 0.000 0.264
Br2 Br 0.237 0.237 0.500
```